(1)
# K2CrH6
Theoretical powder XRD pattern, copper Kα. Input: a cell relaxed with PBE.
Intensities are scaled so that the largest is 100.

Crystal structure
Lattice parameters (Å, degrees): 5.859 5.859 8.149 90.00 90.00 120.00
Element x y z (fractional)
K1 0.000 0.000 0.000
K2 0.000 0.000 0.500
K3 0.333 0.667 0.256
K4 0.667 0.333 0.756
Cr1 0.333 0.667 0.700
Cr2 0.667 0.333 0.200
H1 0.106 0.553 0.555
H2 0.172 0.344 0.746
H3 0.172 0.828 0.746
H4 0.344 0.172 0.246
H5 0.447 0.553 0.555
H6 0.447 0.894 0.555
H7 0.553 0.106 0.055
H8 0.553 0.447 0.055
H9 0.656 0.828 0.746
H10 0.828 0.172 0.246
H11 0.828 0.656 0.246
H12 0.894 0.447 0.055

Top 10 peaks for 2θ = 10–80°, low angle first:
d (Å)	Rel. int.
4.307	14
4.074	14
3.177	96
2.929	100
2.378	16
2.154	33
1.735	28
1.691	16
1.673	20
1.330	11

(2)
# PaTl2Zn2O6
Theoretical powder XRD pattern, copper Kα. Input: a cell relaxed with PBE.
Intensities are scaled so that the largest is 100.

Crystal structure
Lattice parameters (Å, degrees): 6.740 6.740 6.740 54.86 54.86 54.86
Element x y z (fractional)
Pa1 0.000 0.000 0.000
Tl1 0.209 0.209 0.209
Tl2 0.791 0.791 0.791
Zn1 0.410 0.410 0.410
Zn2 0.590 0.590 0.590
O1 0.237 0.237 0.760
O2 0.237 0.760 0.237
O3 0.240 0.763 0.763
O4 0.760 0.237 0.237
O5 0.763 0.240 0.763
O6 0.763 0.763 0.240

Top 10 peaks for 2θ = 10–80°, low angle first:
d (Å)	Rel. int.
5.130	28
3.349	21
3.105	100
2.888	85
2.277	15
2.115	34
1.793	21
1.748	41
1.552	17
1.367	18